Theoretical X-ray diffraction stick pattern
Compound: Fe4PtBr
Radiation: copper Kα
Structure: a GGA-PBE-relaxed structure

Cell and atoms:
```
Fe4PtBr
1.0
0.000 3.510 3.510
3.510 0.000 3.510
3.510 3.510 0.000
Fe Pt Br
4 1 1
direct
0.124 0.124 0.124 Fe
0.124 0.124 0.628 Fe
0.124 0.628 0.124 Fe
0.628 0.124 0.124 Fe
0.750 0.750 0.750 Pt
0.500 0.500 0.500 Br
```

Most intense lines, 5 to 70 degrees two-theta, by intensity:
d = 2.117 Å, 42.7°, intensity 100; d = 2.482 Å, 36.2°, intensity 58; d = 1.351 Å, 69.6°, intensity 30; d = 1.433 Å, 65.1°, intensity 21; d = 4.053 Å, 21.9°, intensity 21; d = 2.026 Å, 44.7°, intensity 19

---

Theoretical X-ray diffraction stick pattern
Compound: FePtBr2
Radiation: copper Kα
Structure: a GGA-PBE-relaxed structure

Cell and atoms:
```
FePtBr2
1.0
3.646 0.000 0.000
0.000 3.427 0.000
-0.906 0.000 7.670
Fe Pt Br
1 1 2
direct
0.000 0.000 0.000 Fe
0.429 0.500 0.876 Pt
0.109 0.500 0.238 Br
0.755 0.000 0.676 Br
```

Most intense lines, 5 to 70 degrees two-theta, by intensity:
d = 7.670 Å, 11.5°, intensity 100; d = 3.134 Å, 28.5°, intensity 36; d = 2.490 Å, 36.1°, intensity 31; d = 2.556 Å, 35.1°, intensity 30; d = 2.426 Å, 37.1°, intensity 26; d = 2.049 Å, 44.2°, intensity 24